[1]
For NbP2S8, a DFT-relaxed cell (GGA-PBE, OQMD) gives the simulated powder diffraction line list in this record (Cu Kα (λ = 1.5418 Å)).

Unit cell a=20.330 b=11.675 c=9.809 alpha=90.00 beta=90.00 gamma=90.00
Space group Cmce (No. 64)
Symmetry-distinct sites (fractional):
Nb (0.071, 0.000, 0.000) x8
P (0.189, 0.186, 0.016) x16
S (0.000, 0.015, 0.789) x8
S (0.000, 0.142, 0.124) x8
S (0.113, 0.189, 0.885) x16
S (0.166, 0.076, 0.164) x16
S (0.218, 0.148, 0.577) x16

Principal peaks in the range 10 to 80 degrees two-theta, by angle:
(hkl)  2theta  I/Imax
1 1 1  12.56  100
2 2 0  17.52  14
0 0 2  18.09  11
5 1 2  29.56  16
8 0 2  39.93  9
7 1 3  42.36  11

[2]
For SrNbP, a DFT-relaxed cell (GGA-PBE, OQMD) gives the simulated powder diffraction line list in this record (Cu Kα (λ = 1.5418 Å)).

Unit cell a=3.940 b=3.958 c=9.966 alpha=90.00 beta=90.00 gamma=90.00
Space group Pmmn (No. 59, origin choice 2)
Symmetry-distinct sites (fractional):
Sr (0.250, 0.250, 0.188) x2
Nb (0.250, 0.750, 0.500) x2
P (0.250, 0.250, 0.673) x2

Principal peaks in the range 10 to 80 degrees two-theta, by angle:
(hkl)  2theta  I/Imax
0 1 1  24.24  27
0 0 3  26.84  40
1 0 2  28.85  49
1 1 1  33.32  57
1 1 2  36.90  100
0 1 4  42.92  28

[3]
For Nb2Pt2Pb3, a DFT-relaxed cell (GGA-PBE, OQMD) gives the simulated powder diffraction line list in this record (Cu Kα (λ = 1.5418 Å)).

Unit cell a=4.6827 b=4.6827 c=24.3502 alpha=90.00 beta=90.00 gamma=120.00
Space group R3m (No. 160, hexagonal axes)
Symmetry-distinct sites (fractional):
Nb (0.0000, 0.0000, 0.0000) x3
Nb (0.0000, 0.0000, 0.4986) x3
Pt (0.0000, 0.0000, 0.2428) x3
Pt (0.0000, 0.0000, 0.7456) x3
Pb (0.0000, 0.0000, 0.3845) x3
Pb (0.0000, 0.0000, 0.6218) x3
Pb (0.0000, 0.0000, 0.8626) x3

Principal peaks in the range 10 to 80 degrees two-theta, by angle:
(hkl)  2theta  I/Imax
0 1 5  28.64  19
0 1 8  36.92  99
1 1 0  38.45  100
2 0 8  54.37  33
1 2 8  68.55  33
3 0 0  69.54  18

[4]
For NbPd, a DFT-relaxed cell (GGA-PBE, OQMD) gives the simulated powder diffraction line list in this record (Cu Kα (λ = 1.5418 Å)).

Unit cell a=2.8651 b=2.8651 c=4.6361 alpha=90.00 beta=90.00 gamma=120.00
Space group P-6m2 (No. 187)
Symmetry-distinct sites (fractional):
Nb (0.0000, 0.0000, 0.0000) x1
Pd (0.6667, 0.3333, 0.5000) x1

Principal peaks in the range 10 to 80 degrees two-theta, by angle:
(hkl)  2theta  I/Imax
1 0 0  36.20  24
0 0 2  38.85  26
1 0 1  41.27  100
1 1 0  65.12  17
1 0 3  71.99  19
1 1 2  78.49  19

[5]
For NbPdS, a DFT-relaxed cell (GGA-PBE, OQMD) gives the simulated powder diffraction line list in this record (Cu Kα (λ = 1.5418 Å)).

Unit cell a=6.2302 b=6.2302 c=4.1354 alpha=90.00 beta=90.00 gamma=120.00
Space group P-6 (No. 174)
Symmetry-distinct sites (fractional):
Nb (0.0644, 0.7277, 0.0000) x3
Pd (0.3999, 0.0684, 0.5000) x3
S (0.0000, 0.0000, 0.5000) x1
S (0.3333, 0.6667, 0.5000) x1
S (0.6667, 0.3333, 0.0000) x1

Principal peaks in the range 10 to 80 degrees two-theta, by angle:
(hkl)  2theta  I/Imax
1 1 1  36.10  100
2 0 1  39.90  37
0 0 2  43.78  24
2 1 0  44.42  30
3 0 0  50.76  17
2 1 2  64.14  19

[6]
For Nb3Sb5Pd5, a DFT-relaxed cell (GGA-PBE, OQMD) gives the simulated powder diffraction line list in this record (Cu Kα (λ = 1.5418 Å)).

Unit cell a=13.755 b=6.265 c=9.678 alpha=90.00 beta=134.53 gamma=90.00
Space group C2 (No. 5)
Symmetry-distinct sites (fractional):
Nb (0.000, 0.000, 0.000) x2
Nb (0.199, 0.002, 0.600) x4
Sb (0.000, 0.497, 0.000) x2
Sb (0.108, 0.009, 0.815) x4
Sb (0.184, 0.504, 0.586) x4
Pd (0.000, 0.776, 0.500) x2
Pd (0.109, 0.242, 0.303) x4
Pd (0.197, 0.755, 0.110) x4

Principal peaks in the range 10 to 80 degrees two-theta, by angle:
(hkl)  2theta  I/Imax
3 1 -1  24.85  74
1 1 -2  24.94  71
2 2 1  40.96  100
4 2 -3  41.23  93
6 0 -2  41.34  44
2 0 -4  41.57  45